Calculated X-ray diffraction stick pattern
Compound: Li3AgBi3
Radiation: Cu Kα, 1.54184 Å
Structure: a structure optimized by DFT (GGA-PBE)
No peak broadening, texture or thermal motion is included.

Principal peaks in the range 2θ = 15–90°, sorted by position:
| 2θ (°) | I (rel.) | hkl |
| --- | --- | --- |
| 17.9 | 23 | 2 0 0 |
| 24.0 | 29 | 0 0 2 |
| 25.9 | 51 | 2 2 0 |
| 27.4 | 18 | 1 1 -2 |
| 35.6 | 100 | 2 2 2 |
| 36.2 | 23 | 4 0 0 |
| 37.7 | 26 | 0 4 0 |
| 53.2 | 20 | 4 4 0 |
| 64.7 | 18 | 6 2 2 |
| 66.6 | 21 | 2 6 2 |

Structural model:
```
data_Li3AgBi3
_chemical_formula_sum 'Li12 Ag4 Bi12'
_symmetry_space_group_name_H-M 'C 1 2/m 1'
_symmetry_Int_Tables_number 12
_cell_length_a 9.9310
_cell_length_b 9.5564
_cell_length_c 7.4013
_cell_angle_alpha 90.00
_cell_angle_beta 90.04
_cell_angle_gamma 90.00
loop_
_symmetry_equiv_pos_as_xyz
'x,y,z'
'-x,-y,-z'
'-x,y,-z'
'x,-y,z'
'x+1/2,y+1/2,z'
'-x+1/2,-y+1/2,-z'
'-x+1/2,y+1/2,-z'
'x+1/2,-y+1/2,z'
loop_
_atom_site_label
_atom_site_fract_x
_atom_site_fract_y
_atom_site_fract_z
_atom_site_occupancy
Li1 0.0000 0.2162 0.0000 1
Li2 0.0000 0.2513 0.5000 1
Li3 0.2484 0.5000 0.5015 1
Ag1 0.2221 0.0000 0.0013 1
Bi1 0.0002 0.5000 0.2425 1
Bi2 0.2498 0.2494 0.7476 1
```